For CsHg3OsS4, a GGA-PBE-relaxed structure gives the theoretical X-ray powder pattern in this record (a wavelength of 1.5418 Å).

Largest 10 diffraction maxima, in order of rising 2θ, 10° ≤ 2θ ≤ 80°:
h k l  2theta  I (rel.)
1 0 0  11.93  69
1 1 1  20.73  72
2 0 0  23.98  95
2 1 0  26.86  20
2 2 0  34.17  100
3 1 1  40.31  47
2 2 2  42.18  34
4 2 0  55.37  50
4 2 2  61.19  34
6 0 0  77.12  24

Structural model:
a b c (Å): 7.421 7.421 7.421
angles (deg): 90.00 90.00 90.00
Space group P-43m (No. 215)
Symmetry-distinct sites (fractional):
Cs  0.000  0.000  0.000
Hg  0.000  0.500  0.500
Os  0.500  0.500  0.500
S  0.331  0.331  0.331